[1]
The following is a computed powder X-ray diffraction pattern of ZnOsNO. It was derived from a structure optimized by DFT (GGA-PBE), using CuKα.
Neutral-atom scattering factors, no anomalous dispersion.

Principal peaks in the range 10° ≤ 2θ ≤ 90°, sorted by position:
h k l  2θ/deg  I_rel
0 1 0  12.3  100
0 2 0  24.8  30
1 2 0  30.3  32
1 2 1  35.5  65
0 0 2  36.8  47
2 0 1  39.4  53
2 1 1  41.4  19
2 2 1  47.1  23
1 2 2  48.4  15
1 4 1  57.5  27

Crystal structure
```
data_ZnOsNO
_symmetry_space_group_name_H-M 'P c a 21'
_symmetry_Int_Tables_number 29
_symmetry_space_group_name_Hall 'P 2c -2ac'
_cell_length_a 5.1784
_cell_length_b 7.1872
_cell_length_c 4.8823
_cell_angle_alpha 90.00
_cell_angle_beta 90.00
_cell_angle_gamma 90.00
loop_
_atom_site_label
_atom_site_type_symbol
_atom_site_fract_x
_atom_site_fract_y
_atom_site_fract_z
Zn1 Zn 0.0998 0.1042 0.0000
Os1 Os 0.0902 0.5667 0.0181
N1 N 0.0659 0.6715 0.6365
O1 O 0.0319 0.1438 0.6048
```



[2]
The following is a computed powder X-ray diffraction pattern of PrPaNO. It was derived from a structure optimized by DFT (GGA-PBE), using CuKα.
Neutral-atom scattering factors, no anomalous dispersion.

Principal peaks in the range 10° ≤ 2θ ≤ 90°, sorted by position:
h k l  2θ/deg  I_rel
1 2 0  24.6  31
2 0 0  25.8  23
1 2 1  30.2  100
2 0 1  31.2  36
0 0 2  34.9  30
0 4 0  42.5  17
3 2 0  44.7  29
2 4 1  53.6  17
0 4 2  56.1  26
3 2 2  58.0  26

Crystal structure
```
data_PrPaNO
_symmetry_space_group_name_H-M 'P c a 21'
_symmetry_Int_Tables_number 29
_symmetry_space_group_name_Hall 'P 2c -2ac'
_cell_length_a 6.9091
_cell_length_b 8.5145
_cell_length_c 5.1355
_cell_angle_alpha 90.00
_cell_angle_beta 90.00
_cell_angle_gamma 90.00
loop_
_atom_site_label
_atom_site_type_symbol
_atom_site_fract_x
_atom_site_fract_y
_atom_site_fract_z
Pr1 Pr 0.0665 0.1213 0.0000
Pa1 Pa 0.0792 0.6270 0.0012
N1 N 0.0808 0.6133 0.5025
O1 O 0.0860 0.1360 0.4991
```



[3]
The following is a computed powder X-ray diffraction pattern of PaSnNO. It was derived from a structure optimized by DFT (GGA-PBE), using CuKα.
Neutral-atom scattering factors, no anomalous dispersion.

Principal peaks in the range 10° ≤ 2θ ≤ 90°, sorted by position:
h k l  2θ/deg  I_rel
0 1 0  10.8  15
1 1 1  24.3  16
2 0 0  30.2  23
1 2 1  31.0  100
0 0 2  31.7  30
2 0 2  44.3  29
3 2 1  54.1  14
0 4 2  55.5  11
1 2 3  55.9  20
3 2 3  73.3  11

Crystal structure
```
data_PaSnNO
_symmetry_space_group_name_H-M 'P c a 21'
_symmetry_Int_Tables_number 29
_symmetry_space_group_name_Hall 'P 2c -2ac'
_cell_length_a 5.9216
_cell_length_b 8.1670
_cell_length_c 5.6518
_cell_angle_alpha 90.00
_cell_angle_beta 90.00
_cell_angle_gamma 90.00
loop_
_atom_site_label
_atom_site_type_symbol
_atom_site_fract_x
_atom_site_fract_y
_atom_site_fract_z
Pa1 Pa 0.0135 0.1405 0.0000
Sn1 Sn 0.0697 0.6514 0.0007
N1 N 0.2501 0.0012 0.2498
O1 O 0.0960 0.4026 0.9986
```